No. 1
For Na2LaRh3O8, a structure optimized by DFT (PBE) gives the simulated powder diffraction line list in this record (Cu Kα X-rays).
Neutral-atom scattering factors, no anomalous dispersion.

Most intense lines, 2θ = 5–70°, by angle:
- 16.6°, rel. 797
- 19.5°, rel. 433
- 27.5°, rel. 601
- 32.3°, rel. 428
- 32.6°, rel. 743
- 32.8°, rel. 1000
- 34.3°, rel. 358
- 51.9°, rel. 348
- 56.8°, rel. 377
- 57.6°, rel. 428

Cell and atoms:
Lattice parameters (Å, degrees): 6.3966 6.3966 15.9984 90.00 90.00 120.00
Space group R3m (No. 160, hexagonal axes)
Asymmetric unit:
Na1 0.0000 0.0000 0.0000 (multiplicity 3)
Na2 0.0000 0.0000 0.3734 (multiplicity 3)
La1 0.0000 0.0000 0.6122 (multiplicity 3)
Rh1 0.1693 0.3386 0.8289 (multiplicity 9)
O1 0.0000 0.0000 0.2275 (multiplicity 3)
O2 0.0000 0.0000 0.7646 (multiplicity 3)
O3 0.0316 0.5158 0.7696 (multiplicity 9)
O4 0.1875 0.3749 0.5630 (multiplicity 9)



No. 2
For Sr2Mg6Tl9, a structure optimized by DFT (PBE) gives the simulated powder diffraction line list in this record (Cu Kα X-rays).
Neutral-atom scattering factors, no anomalous dispersion.

Most intense lines, 2θ = 5–70°, by angle:
- 15.6°, rel. 351
- 18.7°, rel. 662
- 24.5°, rel. 481
- 31.6°, rel. 942
- 33.3°, rel. 396
- 37.0°, rel. 1000
- 37.9°, rel. 241
- 50.2°, rel. 523
- 56.3°, rel. 236
- 69.9°, rel. 245

Cell and atoms:
Lattice parameters (Å, degrees): 6.5388 6.5388 14.2341 90.00 90.00 120.00
Space group P6/mmm (No. 191)
Asymmetric unit:
Sr1 0.0000 0.0000 0.1758 (multiplicity 2)
Mg1 0.3333 0.6667 0.1671 (multiplicity 4)
Mg2 0.3333 0.6667 0.5000 (multiplicity 2)
Tl1 0.0000 0.5000 0.0000 (multiplicity 3)
Tl2 0.0000 0.5000 0.3334 (multiplicity 6)



No. 3
For Ce2Er3Ru4, a structure optimized by DFT (PBE) gives the simulated powder diffraction line list in this record (Cu Kα X-rays).
Neutral-atom scattering factors, no anomalous dispersion.

Most intense lines, 2θ = 5–70°, by angle:
- 28.5°, rel. 545
- 31.8°, rel. 284
- 33.5°, rel. 1000
- 34.3°, rel. 616
- 34.8°, rel. 416
- 35.9°, rel. 591
- 36.5°, rel. 491
- 42.4°, rel. 412
- 42.6°, rel. 278
- 43.0°, rel. 268

Cell and atoms:
Lattice parameters (Å, degrees): 14.2053 10.0081 5.8631 90.00 102.57 90.00
Space group C2/c (No. 15)
Asymmetric unit:
Ce1 0.1876 0.1021 0.4620 (multiplicity 8)
Er1 0.0000 0.1304 0.7500 (multiplicity 4)
Er2 0.0949 0.3921 0.0974 (multiplicity 8)
Ru1 0.1236 0.3168 0.6142 (multiplicity 8)
Ru2 0.2016 0.1371 0.9902 (multiplicity 8)



No. 4
For CsTlAg, a structure optimized by DFT (PBE) gives the simulated powder diffraction line list in this record (Cu Kα X-rays).
Neutral-atom scattering factors, no anomalous dispersion.

Most intense lines, 2θ = 5–70°, by angle:
- 14.3°, rel. 533
- 26.2°, rel. 1000
- 26.8°, rel. 732
- 27.6°, rel. 498
- 27.9°, rel. 857
- 29.3°, rel. 939
- 32.6°, rel. 819
- 32.9°, rel. 348
- 35.0°, rel. 401
- 44.9°, rel. 403

Cell and atoms:
Lattice parameters (Å, degrees): 10.3379 8.6889 6.1097 90.00 121.76 90.00
Space group C2 (No. 5)
Asymmetric unit:
Cs1 0.1782 0.0000 0.4308 (multiplicity 4)
Tl1 0.0928 0.6530 0.8422 (multiplicity 4)
Ag1 0.1146 0.3183 0.9316 (multiplicity 4)



No. 5
For NaPr2NpN4, a structure optimized by DFT (PBE) gives the simulated powder diffraction line list in this record (Cu Kα X-rays).
Neutral-atom scattering factors, no anomalous dispersion.

Most intense lines, 2θ = 5–70°, by angle:
- 19.8°, rel. 563
- 30.7°, rel. 1000
- 34.6°, rel. 253
- 36.0°, rel. 477
- 41.4°, rel. 171
- 50.8°, rel. 333
- 51.9°, rel. 163
- 59.6°, rel. 177
- 61.5°, rel. 297
- 63.9°, rel. 164

Cell and atoms:
Lattice parameters (Å, degrees): 7.0488 10.3713 7.0456 90.00 90.00 90.00
Space group Fmm2 (No. 42)
Asymmetric unit:
Na1 0.0000 0.0000 0.0000 (multiplicity 4)
Pr1 0.2500 0.2500 0.2462 (multiplicity 8)
Np1 0.0000 0.0000 0.4876 (multiplicity 4)
N1 0.0000 0.2004 0.4948 (multiplicity 8)
N2 0.2337 0.0000 0.2696 (multiplicity 8)